The following is a calculated powder diffraction line list of K2Cd6Ag3. It was derived from DFT lattice parameters and positions (GGA-PBE), using Cu Kα.
Intensities are scaled so that the largest is 100.

Crystal structure
```
data_K2Cd6Ag3
_chemical_formula_sum 'K2 Cd6 Ag3'
_cell_length_a 8.6302
_cell_length_b 8.6302
_cell_length_c 4.6376
_cell_angle_alpha 90.00
_cell_angle_beta 90.00
_cell_angle_gamma 120.00
_symmetry_space_group_name_H-M 'P -6 2 m'
_symmetry_Int_Tables_number 189
_symmetry_space_group_name_Hall 'P -6 -2'
loop_
_atom_site_label
_atom_site_fract_x
_atom_site_fract_y
_atom_site_fract_z
_atom_site_occupancy
K1 0.3333 0.6667 0.0000 1
Cd1 0.0000 0.1993 0.0000 1
Cd2 0.0000 0.7207 0.5000 1
Ag1 0.0000 0.3893 0.5000 1
```

Main lines, by angle (10 to 90 degrees two-theta):
- 11.8°, I = 31, hkl 1 0 0
- 20.6°, I = 28, hkl 1 1 0
- 28.2°, I = 53, hkl 1 1 1
- 31.7°, I = 19, hkl 2 1 0
- 36.1°, I = 19, hkl 3 0 0
- 37.3°, I = 100, hkl 2 1 1
- 38.8°, I = 29, hkl 0 0 2
- 41.1°, I = 24, hkl 3 0 1

The following is a calculated powder diffraction line list of Ba2Ca7Mg. It was derived from DFT lattice parameters and positions (GGA-PBE), using Cu Kα.
Intensities are scaled so that the largest is 100.

Crystal structure
```
data_Ba2Ca7Mg
_chemical_formula_sum 'Ba8 Ca28 Mg4'
_cell_length_a 12.6833
_cell_length_b 12.6833
_cell_length_c 12.6833
_cell_angle_alpha 90.00
_cell_angle_beta 90.00
_cell_angle_gamma 90.00
_symmetry_space_group_name_H-M 'F m -3 m'
_symmetry_Int_Tables_number 225
_symmetry_space_group_name_Hall '-F 4 2 3'
loop_
_atom_site_label
_atom_site_fract_x
_atom_site_fract_y
_atom_site_fract_z
_atom_site_occupancy
Ba1 0.2500 0.2500 0.2500 1
Ca1 0.0000 0.0000 0.0000 1
Ca2 0.0000 0.0000 0.2593 1
Mg1 0.0000 0.0000 0.5000 1
```

Main lines, by angle (10 to 90 degrees two-theta):
- 19.8°, I = 73, hkl 2 2 0
- 24.3°, I = 100, hkl 2 2 2
- 28.1°, I = 88, hkl 4 0 0
- 34.6°, I = 35, hkl 4 2 2
- 40.2°, I = 64, hkl 4 4 0
- 47.6°, I = 45, hkl 6 2 2
- 49.8°, I = 22, hkl 4 4 4
- 65.9°, I = 27, hkl 8 4 0